Record 1
Diffraction record for Na2SnO2. The powder XRD pattern is simulated, not measured: it uses a DFT-relaxed cell (PBE, the Materials Project) and CuKα.
Kinematic intensities with the Lorentz-polarization factor, no thermal factor.

Top 10 peaks for 2θ = 5–70°, sorted by position:
2θ (°), intensity
13.88, 40
20.29, 59
20.88, 61
22.52, 81
30.59, 100
31.55, 35
36.95, 46
40.34, 78
40.67, 27
54.04, 33

Structure:
```
data_Na2SnO2
_chemical_formula_sum 'Na16 Sn8 O16'
_cell_length_a 17.015
_cell_length_b 6.880
_cell_length_c 5.852
_cell_angle_alpha 90.00
_cell_angle_beta 90.00
_cell_angle_gamma 90.00
_space_group_name_H-M_alt 'P 1'
_space_group_IT_number 1
loop_
_space_group_symop_operation_xyz
'x,y,z'
loop_
_atom_site_label
_atom_site_fract_x
_atom_site_fract_y
_atom_site_fract_z
Na1 0.000 0.121 0.250
Na2 0.000 0.373 0.750
Na3 0.000 0.627 0.250
Na4 0.000 0.879 0.750
Na5 0.147 0.125 0.581
Na6 0.147 0.875 0.081
Na7 0.353 0.375 0.081
Na8 0.353 0.625 0.581
Na9 0.500 0.127 0.250
Na10 0.500 0.379 0.750
Na11 0.500 0.621 0.250
Na12 0.500 0.873 0.750
Na13 0.647 0.375 0.419
Na14 0.647 0.625 0.919
Na15 0.853 0.125 0.919
Na16 0.853 0.875 0.419
Sn1 0.159 0.368 0.067
Sn2 0.159 0.632 0.567
Sn3 0.341 0.132 0.567
Sn4 0.341 0.868 0.067
Sn5 0.659 0.132 0.933
Sn6 0.659 0.868 0.433
Sn7 0.841 0.368 0.433
Sn8 0.841 0.632 0.933
O1 0.089 0.153 0.941
O2 0.089 0.847 0.441
O3 0.099 0.403 0.386
O4 0.099 0.597 0.886
O5 0.401 0.097 0.886
O6 0.401 0.903 0.386
O7 0.411 0.347 0.441
O8 0.411 0.653 0.941
O9 0.589 0.347 0.059
O10 0.589 0.653 0.559
O11 0.599 0.097 0.614
O12 0.599 0.903 0.114
O13 0.901 0.403 0.114
O14 0.901 0.597 0.614
O15 0.911 0.153 0.559
O16 0.911 0.847 0.059
```

=====

Record 2
Diffraction record for Na2SnO2. The powder XRD pattern is simulated, not measured: it uses a DFT-relaxed cell (PBE, the Materials Project) and CuKα.
Kinematic intensities with the Lorentz-polarization factor, no thermal factor.

Top 10 peaks for 2θ = 5–70°, sorted by position:
2θ (°), intensity
16.05, 53
18.18, 60
22.54, 30
23.34, 100
28.23, 34
31.67, 71
32.35, 73
34.05, 58
38.58, 81
52.39, 58

Structure:
```
data_Na2SnO2
_chemical_formula_sum 'Na8 Sn4 O8'
_cell_length_a 5.266
_cell_length_b 6.697
_cell_length_c 9.761
_cell_angle_alpha 90.00
_cell_angle_beta 90.00
_cell_angle_gamma 90.00
_space_group_name_H-M_alt 'P 1'
_space_group_IT_number 1
loop_
_space_group_symop_operation_xyz
'x,y,z'
loop_
_atom_site_label
_atom_site_fract_x
_atom_site_fract_y
_atom_site_fract_z
Na1 0.007 0.120 0.427
Na2 0.009 0.637 0.754
Na3 0.491 0.363 0.254
Na4 0.493 0.880 0.927
Na5 0.507 0.380 0.573
Na6 0.509 0.863 0.246
Na7 0.991 0.137 0.746
Na8 0.993 0.620 0.073
Sn1 0.004 0.598 0.428
Sn2 0.496 0.402 0.928
Sn3 0.504 0.902 0.572
Sn4 0.996 0.098 0.072
O1 0.018 0.391 0.581
O2 0.110 0.839 0.556
O3 0.390 0.161 0.056
O4 0.482 0.609 0.081
O5 0.518 0.109 0.419
O6 0.610 0.661 0.444
O7 0.890 0.339 0.944
O8 0.982 0.891 0.919
```

=====

Record 3
Diffraction record for Na8SnO6. The powder XRD pattern is simulated, not measured: it uses a DFT-relaxed cell (PBE, the Materials Project) and CuKα.
Kinematic intensities with the Lorentz-polarization factor, no thermal factor.

Top 10 peaks for 2θ = 5–70°, sorted by position:
2θ (°), intensity
15.77, 65
20.99, 100
27.49, 31
28.37, 30
30.86, 41
32.05, 46
34.84, 42
44.94, 45
45.25, 25
48.60, 48

Structure:
```
data_Na8SnO6
_chemical_formula_sum 'Na16 Sn2 O12'
_cell_length_a 6.489
_cell_length_b 6.489
_cell_length_c 12.870
_cell_angle_alpha 90.00
_cell_angle_beta 90.00
_cell_angle_gamma 120.00
_space_group_name_H-M_alt 'P 1'
_space_group_IT_number 1
loop_
_space_group_symop_operation_xyz
'x,y,z'
loop_
_atom_site_label
_atom_site_fract_x
_atom_site_fract_y
_atom_site_fract_z
Na1 0.000 0.302 0.000
Na2 0.000 0.398 0.356
Na3 0.000 0.602 0.856
Na4 0.000 0.698 0.500
Na5 0.302 0.000 0.000
Na6 0.302 0.302 0.500
Na7 0.333 0.667 0.141
Na8 0.333 0.667 0.641
Na9 0.398 0.000 0.356
Na10 0.398 0.398 0.856
Na11 0.602 0.000 0.856
Na12 0.602 0.602 0.356
Na13 0.667 0.333 0.141
Na14 0.667 0.333 0.641
Na15 0.698 0.000 0.500
Na16 0.698 0.698 0.000
Sn1 0.000 0.000 0.227
Sn2 0.000 0.000 0.727
O1 0.000 0.000 0.385
O2 0.000 0.000 0.885
O3 0.000 0.293 0.182
O4 0.000 0.707 0.682
O5 0.293 0.000 0.182
O6 0.293 0.293 0.682
O7 0.333 0.667 0.451
O8 0.333 0.667 0.951
O9 0.667 0.333 0.451
O10 0.667 0.333 0.951
O11 0.707 0.000 0.682
O12 0.707 0.707 0.182
```

=====

Record 4
Diffraction record for Na2SnO3. The powder XRD pattern is simulated, not measured: it uses a DFT-relaxed cell (PBE, the Materials Project) and CuKα.
Kinematic intensities with the Lorentz-polarization factor, no thermal factor.

Top 10 peaks for 2θ = 5–70°, sorted by position:
2θ (°), intensity
15.85, 68
18.31, 35
24.31, 33
32.00, 43
35.90, 100
40.31, 15
45.89, 43
57.03, 26
59.60, 42
66.91, 24

Structure:
```
data_Na2SnO3
_chemical_formula_sum 'Na8 Sn4 O12'
_cell_length_a 5.594
_cell_length_b 5.594
_cell_length_c 11.184
_cell_angle_alpha 90.00
_cell_angle_beta 90.00
_cell_angle_gamma 120.00
_space_group_name_H-M_alt 'P 1'
_space_group_IT_number 1
loop_
_space_group_symop_operation_xyz
'x,y,z'
loop_
_atom_site_label
_atom_site_fract_x
_atom_site_fract_y
_atom_site_fract_z
Na1 0.000 0.000 0.000
Na2 0.000 0.000 0.500
Na3 0.000 0.322 0.250
Na4 0.000 0.678 0.750
Na5 0.322 0.000 0.250
Na6 0.322 0.322 0.750
Na7 0.678 0.000 0.750
Na8 0.678 0.678 0.250
Sn1 0.333 0.667 0.000
Sn2 0.333 0.667 0.500
Sn3 0.667 0.333 0.000
Sn4 0.667 0.333 0.500
O1 0.000 0.368 0.605
O2 0.000 0.368 0.895
O3 0.000 0.632 0.105
O4 0.000 0.632 0.395
O5 0.368 0.000 0.605
O6 0.368 0.000 0.895
O7 0.368 0.368 0.105
O8 0.368 0.368 0.395
O9 0.632 0.000 0.105
O10 0.632 0.000 0.395
O11 0.632 0.632 0.605
O12 0.632 0.632 0.895
```

=====

Record 5
Diffraction record for Na2SnO3. The powder XRD pattern is simulated, not measured: it uses a DFT-relaxed cell (PBE, the Materials Project) and CuKα.
Kinematic intensities with the Lorentz-polarization factor, no thermal factor.

Top 10 peaks for 2θ = 5–70°, sorted by position:
2θ (°), intensity
17.03, 100
18.34, 14
21.19, 19
28.37, 36
32.19, 15
33.14, 36
33.82, 33
38.72, 35
38.93, 69
56.07, 43

Structure:
```
data_Na2SnO3
_chemical_formula_sum 'Na8 Sn4 O12'
_cell_length_a 10.734
_cell_length_b 10.228
_cell_length_c 5.716
_cell_angle_alpha 79.12
_cell_angle_beta 69.35
_cell_angle_gamma 31.53
_space_group_name_H-M_alt 'P 1'
_space_group_IT_number 1
loop_
_space_group_symop_operation_xyz
'x,y,z'
loop_
_atom_site_label
_atom_site_fract_x
_atom_site_fract_y
_atom_site_fract_z
Na1 0.047 0.047 0.203
Na2 0.120 0.120 0.630
Na3 0.203 0.203 0.047
Na4 0.370 0.370 0.880
Na5 0.630 0.630 0.120
Na6 0.797 0.797 0.953
Na7 0.880 0.880 0.370
Na8 0.953 0.953 0.797
Sn1 0.291 0.291 0.459
Sn2 0.459 0.459 0.291
Sn3 0.541 0.541 0.709
Sn4 0.709 0.709 0.541
O1 0.040 0.527 0.251
O2 0.167 0.583 0.583
O3 0.251 0.682 0.040
O4 0.318 0.749 0.473
O5 0.417 0.833 0.833
O6 0.473 0.960 0.318
O7 0.527 0.040 0.682
O8 0.583 0.167 0.167
O9 0.682 0.251 0.527
O10 0.749 0.318 0.960
O11 0.833 0.417 0.417
O12 0.960 0.473 0.749
```

=====

Record 6
Diffraction record for Na4SnO3. The powder XRD pattern is simulated, not measured: it uses a DFT-relaxed cell (PBE, the Materials Project) and CuKα.
Kinematic intensities with the Lorentz-polarization factor, no thermal factor.

Top 10 peaks for 2θ = 5–70°, sorted by position:
2θ (°), intensity
16.89, 36
19.06, 100
22.57, 39
24.26, 25
32.04, 23
32.37, 68
37.12, 35
37.62, 75
53.63, 22
54.12, 32

Structure:
```
data_Na4SnO3
_chemical_formula_sum 'Na8 Sn2 O6'
_cell_length_a 8.929
_cell_length_b 8.929
_cell_length_c 5.947
_cell_angle_alpha 96.48
_cell_angle_beta 96.48
_cell_angle_gamma 141.56
_space_group_name_H-M_alt 'P 1'
_space_group_IT_number 1
loop_
_space_group_symop_operation_xyz
'x,y,z'
loop_
_atom_site_label
_atom_site_fract_x
_atom_site_fract_y
_atom_site_fract_z
Na1 0.034 0.966 0.500
Na2 0.174 0.891 0.944
Na3 0.227 0.735 0.502
Na4 0.442 0.528 0.469
Na5 0.528 0.442 0.969
Na6 0.735 0.227 0.002
Na7 0.891 0.174 0.444
Na8 0.966 0.034 0.000
Sn1 0.335 0.623 0.999
Sn2 0.623 0.335 0.499
O1 0.119 0.443 0.222
O2 0.180 0.313 0.762
O3 0.313 0.180 0.262
O4 0.443 0.119 0.722
O5 0.662 0.788 0.210
O6 0.788 0.662 0.710
```

=====

Record 7
Diffraction record for Na4SnO4. The powder XRD pattern is simulated, not measured: it uses a DFT-relaxed cell (PBE, the Materials Project) and CuKα.
Kinematic intensities with the Lorentz-polarization factor, no thermal factor.

Top 10 peaks for 2θ = 5–70°, sorted by position:
2θ (°), intensity
16.90, 72
18.77, 70
18.96, 58
19.25, 61
23.95, 55
32.06, 74
32.27, 100
36.49, 56
37.33, 60
38.06, 63

Structure:
```
data_Na4SnO4
_chemical_formula_sum 'Na8 Sn2 O8'
_cell_length_a 5.953
_cell_length_b 5.966
_cell_length_c 8.965
_cell_angle_alpha 82.36
_cell_angle_beta 71.12
_cell_angle_gamma 68.56
_space_group_name_H-M_alt 'P 1'
_space_group_IT_number 1
loop_
_space_group_symop_operation_xyz
'x,y,z'
loop_
_atom_site_label
_atom_site_fract_x
_atom_site_fract_y
_atom_site_fract_z
Na1 0.018 0.264 0.436
Na2 0.113 0.720 0.195
Na3 0.255 0.243 0.008
Na4 0.436 0.249 0.595
Na5 0.564 0.751 0.405
Na6 0.745 0.757 0.992
Na7 0.887 0.280 0.805
Na8 0.982 0.736 0.564
Sn1 0.341 0.722 0.765
Sn2 0.659 0.278 0.235
O1 0.127 0.517 0.805
O2 0.201 0.985 0.621
O3 0.321 0.477 0.371
O4 0.351 0.840 0.957
O5 0.649 0.160 0.043
O6 0.679 0.523 0.629
O7 0.799 0.015 0.379
O8 0.873 0.483 0.195
```

=====

Record 8
Diffraction record for Na2SnO6. The powder XRD pattern is simulated, not measured: it uses a DFT-relaxed cell (PBE, the Materials Project) and CuKα.
Kinematic intensities with the Lorentz-polarization factor, no thermal factor.

Top 10 peaks for 2θ = 5–70°, sorted by position:
2θ (°), intensity
13.35, 100
16.59, 58
17.67, 65
24.51, 32
30.13, 48
31.33, 32
31.85, 32
36.16, 47
37.59, 41
39.60, 52

Structure:
```
data_Na2SnO6
_chemical_formula_sum 'Na2 Sn1 O6'
_cell_length_a 5.850
_cell_length_b 5.850
_cell_length_c 7.453
_cell_angle_alpha 116.12
_cell_angle_beta 116.12
_cell_angle_gamma 30.77
_space_group_name_H-M_alt 'P 1'
_space_group_IT_number 1
loop_
_space_group_symop_operation_xyz
'x,y,z'
loop_
_atom_site_label
_atom_site_fract_x
_atom_site_fract_y
_atom_site_fract_z
Na1 0.175 0.175 0.243
Na2 0.825 0.825 0.757
Sn1 0.500 0.500 0.500
O1 0.136 0.136 0.555
O2 0.357 0.357 0.037
O3 0.482 0.482 0.190
O4 0.518 0.518 0.810
O5 0.643 0.643 0.963
O6 0.864 0.864 0.445
```

=====

Record 9
Diffraction record for Na2SnO6. The powder XRD pattern is simulated, not measured: it uses a DFT-relaxed cell (PBE, the Materials Project) and CuKα.
Kinematic intensities with the Lorentz-polarization factor, no thermal factor.

Top 10 peaks for 2θ = 5–70°, sorted by position:
2θ (°), intensity
17.65, 100
22.28, 48
23.50, 45
27.57, 40
35.44, 14
36.53, 82
48.74, 31
54.79, 25
56.30, 30
62.42, 15

Structure:
```
data_Na2SnO6
_chemical_formula_sum 'Na2 Sn1 O6'
_cell_length_a 5.320
_cell_length_b 5.320
_cell_length_c 5.320
_cell_angle_alpha 74.93
_cell_angle_beta 74.93
_cell_angle_gamma 74.93
_space_group_name_H-M_alt 'P 1'
_space_group_IT_number 1
loop_
_space_group_symop_operation_xyz
'x,y,z'
loop_
_atom_site_label
_atom_site_fract_x
_atom_site_fract_y
_atom_site_fract_z
Na1 0.178 0.178 0.178
Na2 0.822 0.822 0.822
Sn1 0.500 0.500 0.500
O1 0.142 0.720 0.412
O2 0.280 0.588 0.858
O3 0.412 0.142 0.720
O4 0.588 0.858 0.280
O5 0.720 0.412 0.142
O6 0.858 0.280 0.588
```

=====

Record 10
Diffraction record for Na2Sn2O3. The powder XRD pattern is simulated, not measured: it uses a DFT-relaxed cell (PBE, the Materials Project) and CuKα.
Kinematic intensities with the Lorentz-polarization factor, no thermal factor.

Top 10 peaks for 2θ = 5–70°, sorted by position:
2θ (°), intensity
22.62, 74
32.21, 100
36.14, 12
39.72, 12
43.06, 6
46.20, 25
52.03, 31
57.43, 36
60.01, 8
67.39, 13

Structure:
```
data_Na2Sn2O3
_chemical_formula_sum 'Na4 Sn4 O6'
_cell_length_a 6.807
_cell_length_b 6.807
_cell_length_c 6.807
_cell_angle_alpha 109.47
_cell_angle_beta 109.47
_cell_angle_gamma 109.47
_space_group_name_H-M_alt 'P 1'
_space_group_IT_number 1
loop_
_space_group_symop_operation_xyz
'x,y,z'
loop_
_atom_site_label
_atom_site_fract_x
_atom_site_fract_y
_atom_site_fract_z
Na1 0.000 0.450 0.500
Na2 0.050 0.050 0.050
Na3 0.450 0.500 0.000
Na4 0.500 0.000 0.450
Sn1 0.000 0.971 0.500
Sn2 0.500 0.000 0.971
Sn3 0.529 0.529 0.529
Sn4 0.971 0.500 0.000
O1 0.203 0.750 0.953
O2 0.250 0.547 0.297
O3 0.297 0.250 0.547
O4 0.547 0.297 0.250
O5 0.750 0.953 0.203
O6 0.953 0.203 0.750
```